This entry pairs a crystal structure of CaMn2V4CuO12 with its calculated X-ray powder pattern. Radiation: a wavelength of 1.5418 Å. Structure: DFT lattice parameters and positions (GGA+U).

Main lines, in order of falling intensity (2θ from 10° to 90°):
Position (°2θ)	intensity
33.86	100
33.69	96
34.06	86
60.23	48
60.94	46
60.62	44
48.68	33
48.09	30
49.18	28
80.38	15

Cell: 6.484 6.484 6.484 Å, 110.30 109.53 108.59°
Element x y z (fractional)
Ca1 0.000 0.000 0.000
Mn1 0.500 0.000 0.500
Mn2 0.500 0.500 0.000
V1 0.000 0.000 0.500
V2 0.000 0.500 0.000
V3 0.500 0.000 0.000
V4 0.500 0.500 0.500
Cu1 0.000 0.500 0.500
O1 0.105 0.820 0.286
O2 0.186 0.310 0.496
O3 0.186 0.690 0.877
O4 0.301 0.109 0.808
O5 0.301 0.492 0.192
O6 0.466 0.180 0.286
O7 0.534 0.820 0.714
O8 0.699 0.508 0.808
O9 0.699 0.891 0.192
O10 0.814 0.310 0.123
O11 0.814 0.690 0.504
O12 0.895 0.180 0.714